[1]
Diffraction record for TmZrTeC. The powder XRD pattern is computed, not measured: it uses a GGA-PBE-relaxed structure and λ = 1.5418 Å (Cu Kα).
No peak broadening, texture or thermal motion is included.

The 10 most intense peaks (15 to 90 degrees two-theta), low angle first:
2θ/deg, d_spacing, I (rel.)
28.25, 3.159, 26
31.20, 2.867, 8
34.55, 2.596, 100
39.57, 2.278, 13
49.33, 1.847, 12
50.01, 1.824, 25
62.21, 1.492, 18
65.58, 1.424, 18
68.58, 1.368, 11
83.76, 1.155, 16

Atomic structure:
```
data_TmZrTeC
_chemical_formula_sum 'Tm2 Zr2 Te2 C2'
_cell_length_a 3.6473
_cell_length_b 3.6473
_cell_length_c 13.6657
_cell_angle_alpha 90.00
_cell_angle_beta 90.00
_cell_angle_gamma 120.00
_space_group_name_H-M_alt 'P 1'
_space_group_IT_number 1
_space_group_name_Hall 'P 1'
loop_
_atom_site_label
_atom_site_fract_x
_atom_site_fract_y
_atom_site_fract_z
Tm1 0.3333 0.6667 0.0939
Tm2 0.6667 0.3333 0.9061
Zr1 0.3333 0.6667 0.4142
Zr2 0.6667 0.3333 0.5858
Te1 0.3333 0.6667 0.7387
Te2 0.6667 0.3333 0.2613
C1 0.0000 0.0000 0.0000
C2 0.0000 0.0000 0.5000
```

***

[2]
Diffraction record for YZrTeC. The powder XRD pattern is computed, not measured: it uses a GGA-PBE-relaxed structure and λ = 1.5418 Å (Cu Kα).
No peak broadening, texture or thermal motion is included.

The 10 most intense peaks (15 to 90 degrees two-theta), low angle first:
2θ/deg, d_spacing, I (rel.)
28.15, 3.170, 25
34.32, 2.613, 100
39.04, 2.307, 14
48.82, 1.865, 13
49.83, 1.830, 25
61.90, 1.499, 17
65.05, 1.434, 18
67.71, 1.384, 11
83.34, 1.160, 15
88.60, 1.104, 6

Atomic structure:
```
data_YZrTeC
_chemical_formula_sum 'Y2 Zr2 Te2 C2'
_cell_length_a 3.6601
_cell_length_b 3.6601
_cell_length_c 13.8436
_cell_angle_alpha 90.00
_cell_angle_beta 90.00
_cell_angle_gamma 120.00
_space_group_name_H-M_alt 'P 1'
_space_group_IT_number 1
_space_group_name_Hall 'P 1'
loop_
_atom_site_label
_atom_site_fract_x
_atom_site_fract_y
_atom_site_fract_z
Y1 0.0000 0.0000 0.1635
Y2 0.0000 0.0000 0.8365
Zr1 0.6667 0.3333 0.3459
Zr2 0.6667 0.3333 0.6541
Te1 0.0000 0.0000 0.5000
Te2 0.6667 0.3333 0.0000
C1 0.3333 0.6667 0.2664
C2 0.3333 0.6667 0.7336
```

***

[3]
Diffraction record for Zr4Tl3W2C3. The powder XRD pattern is computed, not measured: it uses a GGA-PBE-relaxed structure and λ = 1.5418 Å (Cu Kα).
No peak broadening, texture or thermal motion is included.

The 10 most intense peaks (15 to 90 degrees two-theta), low angle first:
2θ/deg, d_spacing, I (rel.)
31.42, 2.847, 33
36.43, 2.466, 100
36.55, 2.459, 77
48.90, 1.863, 15
55.88, 1.645, 19
56.04, 1.641, 10
65.68, 1.422, 19
68.50, 1.370, 8
68.61, 1.368, 23
68.73, 1.366, 17

Atomic structure:
```
data_Zr4Tl3W2C3
_chemical_formula_sum 'Zr8 Tl6 W4 C6'
_cell_length_a 5.6898
_cell_length_b 5.6898
_cell_length_c 15.1208
_cell_angle_alpha 101.00
_cell_angle_beta 101.00
_cell_angle_gamma 60.18
_space_group_name_H-M_alt 'P 1'
_space_group_IT_number 1
_space_group_name_Hall 'P 1'
loop_
_atom_site_label
_atom_site_fract_x
_atom_site_fract_y
_atom_site_fract_z
Zr1 0.0367 0.1886 0.0870
Zr2 0.1294 0.3050 0.4130
Zr3 0.1886 0.0367 0.5870
Zr4 0.3050 0.1294 0.9130
Zr5 0.6950 0.8706 0.0870
Zr6 0.8114 0.9633 0.4130
Zr7 0.8706 0.6950 0.5870
Zr8 0.9633 0.8114 0.9130
Tl1 0.1050 0.8950 0.2500
Tl2 0.2679 0.4178 0.7524
Tl3 0.4178 0.2679 0.2524
Tl4 0.5822 0.7321 0.7476
Tl5 0.7321 0.5822 0.2476
Tl6 0.8950 0.1050 0.7500
W1 0.3463 0.5239 0.0718
W2 0.4761 0.6537 0.4282
W3 0.5239 0.3463 0.5718
W4 0.6537 0.4761 0.9282
C1 0.0000 0.5000 0.0000
C2 0.1812 0.6597 0.5000
C3 0.3403 0.8188 0.0000
C4 0.5000 0.0000 0.5000
C5 0.6597 0.1812 0.0000
C6 0.8188 0.3403 0.5000
```

***

[4]
Diffraction record for Tm2C3. The powder XRD pattern is computed, not measured: it uses a GGA-PBE-relaxed structure and λ = 1.5418 Å (Cu Kα).
No peak broadening, texture or thermal motion is included.

The 10 most intense peaks (15 to 90 degrees two-theta), low angle first:
2θ/deg, d_spacing, I (rel.)
27.05, 3.296, 47
31.34, 2.854, 100
35.15, 2.553, 93
41.87, 2.158, 47
53.21, 1.721, 28
55.78, 1.648, 15
58.27, 1.583, 62
63.07, 1.474, 28
76.46, 1.246, 18
89.12, 1.099, 21

Atomic structure:
```
data_Tm2C3
_chemical_formula_sum 'Tm8 C12'
_cell_length_a 6.9920
_cell_length_b 6.9920
_cell_length_c 6.9920
_cell_angle_alpha 109.47
_cell_angle_beta 109.47
_cell_angle_gamma 109.47
_space_group_name_H-M_alt 'P 1'
_space_group_IT_number 1
_space_group_name_Hall 'P 1'
loop_
_atom_site_label
_atom_site_fract_x
_atom_site_fract_y
_atom_site_fract_z
Tm1 0.0000 0.4001 0.5000
Tm2 0.0000 0.9001 0.5000
Tm3 0.0999 0.0999 0.0999
Tm4 0.4001 0.5000 0.0000
Tm5 0.5000 0.0000 0.4001
Tm6 0.5000 0.0000 0.9001
Tm7 0.5999 0.5999 0.5999
Tm8 0.9001 0.5000 0.0000
C1 0.0417 0.7500 0.7917
C2 0.2083 0.7500 0.9583
C3 0.2500 0.5417 0.2917
C4 0.2500 0.7083 0.4583
C5 0.2917 0.2500 0.5417
C6 0.4583 0.2500 0.7083
C7 0.5417 0.2917 0.2500
C8 0.7083 0.4583 0.2500
C9 0.7500 0.7917 0.0417
C10 0.7500 0.9583 0.2083
C11 0.7917 0.0417 0.7500
C12 0.9583 0.2083 0.7500
```

***

[5]
Diffraction record for Tm2C5. The powder XRD pattern is computed, not measured: it uses a GGA-PBE-relaxed structure and λ = 1.5418 Å (Cu Kα).
No peak broadening, texture or thermal motion is included.

The 10 most intense peaks (15 to 90 degrees two-theta), low angle first:
2θ/deg, d_spacing, I (rel.)
25.56, 3.485, 94
27.44, 3.250, 33
29.95, 2.983, 38
37.85, 2.377, 100
41.07, 2.198, 35
42.09, 2.147, 21
50.58, 1.805, 20
58.50, 1.578, 23
60.26, 1.536, 22
63.12, 1.473, 17

Atomic structure:
```
data_Tm2C5
_chemical_formula_sum 'Tm2 C5'
_cell_length_a 4.9063
_cell_length_b 4.9063
_cell_length_c 4.9063
_cell_angle_alpha 128.10
_cell_angle_beta 105.11
_cell_angle_gamma 97.02
_space_group_name_H-M_alt 'P 1'
_space_group_IT_number 1
_space_group_name_Hall 'P 1'
loop_
_atom_site_label
_atom_site_fract_x
_atom_site_fract_y
_atom_site_fract_z
Tm1 0.2486 0.2486 0.0000
Tm2 0.7514 0.7514 0.0000
C1 0.0000 0.5000 0.5000
C2 0.2207 0.5000 0.7207
C3 0.3891 0.0000 0.3891
C4 0.6109 0.0000 0.6109
C5 0.7793 0.5000 0.2793
```

***

[6]
Diffraction record for UC12. The powder XRD pattern is computed, not measured: it uses a GGA-PBE-relaxed structure and λ = 1.5418 Å (Cu Kα).
No peak broadening, texture or thermal motion is included.

The 10 most intense peaks (15 to 90 degrees two-theta), low angle first:
2θ/deg, d_spacing, I (rel.)
23.94, 3.716, 64
26.48, 3.366, 100
33.00, 2.714, 57
33.84, 2.649, 17
41.88, 2.157, 30
43.70, 2.071, 30
48.20, 1.888, 30
50.44, 1.809, 18
52.21, 1.752, 16
67.74, 1.383, 15

Atomic structure:
```
data_UC12
_chemical_formula_sum 'U1 C12'
_cell_length_a 4.2913
_cell_length_b 4.2913
_cell_length_c 7.9462
_cell_angle_alpha 90.00
_cell_angle_beta 90.00
_cell_angle_gamma 120.00
_space_group_name_H-M_alt 'P 1'
_space_group_IT_number 1
_space_group_name_Hall 'P 1'
loop_
_atom_site_label
_atom_site_fract_x
_atom_site_fract_y
_atom_site_fract_z
U1 0.0000 0.0000 0.0000
C1 0.0000 0.3326 0.2870
C2 0.0000 0.3326 0.7130
C3 0.0000 0.6674 0.2870
C4 0.0000 0.6674 0.7130
C5 0.3326 0.0000 0.2870
C6 0.3326 0.0000 0.7130
C7 0.3326 0.3326 0.2870
C8 0.3326 0.3326 0.7130
C9 0.6674 0.0000 0.2870
C10 0.6674 0.0000 0.7130
C11 0.6674 0.6674 0.2870
C12 0.6674 0.6674 0.7130
```

***

[7]
Diffraction record for UW2C2. The powder XRD pattern is computed, not measured: it uses a GGA-PBE-relaxed structure and λ = 1.5418 Å (Cu Kα).
No peak broadening, texture or thermal motion is included.

The 10 most intense peaks (15 to 90 degrees two-theta), low angle first:
2θ/deg, d_spacing, I (rel.)
27.20, 3.278, 100
30.48, 2.932, 62
34.34, 2.611, 33
36.83, 2.441, 39
38.85, 2.318, 31
39.61, 2.275, 32
46.38, 1.958, 49
48.53, 1.876, 35
57.99, 1.590, 27
70.70, 1.332, 31

Atomic structure:
```
data_UW2C2
_chemical_formula_sum 'U2 W4 C4'
_cell_length_a 6.9964
_cell_length_b 6.9964
_cell_length_c 6.9964
_cell_angle_alpha 96.99
_cell_angle_beta 96.99
_cell_angle_gamma 139.17
_space_group_name_H-M_alt 'P 1'
_space_group_IT_number 1
_space_group_name_Hall 'P 1'
loop_
_atom_site_label
_atom_site_fract_x
_atom_site_fract_y
_atom_site_fract_z
U1 0.0000 0.5000 0.5000
U2 0.5000 0.0000 0.5000
W1 0.2041 0.7916 0.9957
W2 0.2084 0.2041 0.4126
W3 0.7916 0.7959 0.5874
W4 0.7959 0.2084 0.0043
C1 0.0027 0.2367 0.2394
C2 0.2367 0.9973 0.2340
C3 0.7633 0.0027 0.7660
C4 0.9973 0.7633 0.7606
```

***

[8]
Diffraction record for W14C. The powder XRD pattern is computed, not measured: it uses a GGA-PBE-relaxed structure and λ = 1.5418 Å (Cu Kα).
No peak broadening, texture or thermal motion is included.

The 10 most intense peaks (15 to 90 degrees two-theta), low angle first:
2θ/deg, d_spacing, I (rel.)
28.84, 3.095, 13
35.02, 2.562, 43
36.51, 2.461, 18
36.78, 2.444, 14
38.41, 2.343, 37
39.20, 2.298, 16
43.87, 2.064, 100
71.04, 1.327, 20
73.26, 1.292, 15
83.77, 1.155, 22

Atomic structure:
```
data_W14C
_chemical_formula_sum 'W14 C1'
_cell_length_a 6.5648
_cell_length_b 6.5648
_cell_length_c 6.5648
_cell_angle_alpha 74.66
_cell_angle_beta 74.66
_cell_angle_gamma 74.66
_space_group_name_H-M_alt 'P 1'
_space_group_IT_number 1
_space_group_name_Hall 'P 1'
loop_
_atom_site_label
_atom_site_fract_x
_atom_site_fract_y
_atom_site_fract_z
W1 0.1377 0.1377 0.1377
W2 0.1797 0.5000 0.8203
W3 0.1797 0.8203 0.5000
W4 0.2120 0.2120 0.5687
W5 0.2120 0.5687 0.2120
W6 0.4313 0.7880 0.7880
W7 0.5000 0.1797 0.8203
W8 0.5000 0.8203 0.1797
W9 0.5687 0.2120 0.2120
W10 0.7880 0.4313 0.7880
W11 0.7880 0.7880 0.4313
W12 0.8203 0.1797 0.5000
W13 0.8203 0.5000 0.1797
W14 0.8623 0.8623 0.8623
C1 0.0000 0.0000 0.0000
```

***

[9]
Diffraction record for WC8. The powder XRD pattern is computed, not measured: it uses a GGA-PBE-relaxed structure and λ = 1.5418 Å (Cu Kα).
No peak broadening, texture or thermal motion is included.

The 10 most intense peaks (15 to 90 degrees two-theta), low angle first:
2θ/deg, d_spacing, I (rel.)
21.30, 4.171, 100
23.77, 3.743, 77
27.48, 3.246, 55
36.25, 2.478, 25
37.05, 2.427, 23
37.88, 2.375, 23
40.36, 2.235, 18
41.48, 2.177, 17
48.69, 1.870, 49
57.38, 1.606, 22

Atomic structure:
```
data_WC8
_chemical_formula_sum 'W2 C16'
_cell_length_a 8.5080
_cell_length_b 7.7271
_cell_length_c 5.0296
_cell_angle_alpha 80.66
_cell_angle_beta 63.66
_cell_angle_gamma 35.68
_space_group_name_H-M_alt 'P 1'
_space_group_IT_number 1
_space_group_name_Hall 'P 1'
loop_
_atom_site_label
_atom_site_fract_x
_atom_site_fract_y
_atom_site_fract_z
W1 0.1250 0.1250 0.1250
W2 0.8750 0.8750 0.8750
C1 0.0774 0.4111 0.3390
C2 0.0798 0.4131 0.8356
C3 0.1644 0.8284 0.9202
C4 0.1716 0.8356 0.4131
C5 0.3276 0.6610 0.5889
C6 0.3390 0.6724 0.0774
C7 0.4111 0.0774 0.6724
C8 0.4131 0.0798 0.1716
C9 0.5869 0.9202 0.8284
C10 0.5889 0.9226 0.3276
C11 0.6610 0.3276 0.9226
C12 0.6724 0.3390 0.4111
C13 0.8284 0.1644 0.5869
C14 0.8356 0.1716 0.0798
C15 0.9202 0.5869 0.1644
C16 0.9226 0.5889 0.6610
```

***

Question: Number 2 is which compound?
Answer: YZrTeC